1.
Structure and simulated powder X-ray diffraction pattern of HfNiAs (a cell relaxed with PBE; Cu Kα).
Kinematic intensities with the Lorentz-polarization factor, no thermal factor.

Structure:
a = 6.4566 Å, b = 3.8411 Å, c = 11.1470 Å
α = 90.00°, β = 91.26°, γ = 90.00°
Element x y z (fractional)
Hf (0.0200, 0.2500, 0.1191)
Hf (0.1584, 0.2500, 0.4236)
Hf (0.4751, 0.7500, 0.7968)
Hf (0.5249, 0.2500, 0.2032)
Hf (0.8416, 0.7500, 0.5764)
Hf (0.9800, 0.7500, 0.8809)
Ni (0.1318, 0.2500, 0.6982)
Ni (0.3377, 0.7500, 0.0491)
Ni (0.4908, 0.7500, 0.4111)
Ni (0.5092, 0.2500, 0.5889)
Ni (0.6623, 0.2500, 0.9509)
Ni (0.8682, 0.7500, 0.3018)
As (0.2276, 0.7500, 0.2540)
As (0.2686, 0.7500, 0.5900)
As (0.2758, 0.2500, 0.9230)
As (0.7242, 0.7500, 0.0770)
As (0.7314, 0.2500, 0.4100)
As (0.7724, 0.2500, 0.7460)

Top 10 peaks for 2θ = 15–90°, by angle:
hkl 0 1 1, 24.5°, I 34
hkl 1 1 -3, 36.2°, I 92
hkl 2 1 0, 36.4°, I 51
hkl 1 1 3, 36.6°, I 81
hkl 2 1 -1, 37.1°, I 57
hkl 2 0 3, 37.3°, I 33
hkl 2 1 -2, 39.6°, I 63
hkl 0 1 4, 40.0°, I 79
hkl 2 1 2, 40.2°, I 100
hkl 0 2 0, 47.3°, I 84



2.
Structure and simulated powder X-ray diffraction pattern of Hf4NiAs2 (a cell relaxed with PBE; Cu Kα).
Kinematic intensities with the Lorentz-polarization factor, no thermal factor.

Structure:
a = 12.7878 Å, b = 3.6247 Å, c = 6.7495 Å
α = 90.00°, β = 118.70°, γ = 90.00°
Element x y z (fractional)
Hf (0.1115, 0.0000, 0.3447)
Hf (0.1144, 0.5000, 0.7506)
Hf (0.3856, 0.0000, 0.2494)
Hf (0.3885, 0.5000, 0.6553)
Hf (0.6115, 0.5000, 0.3447)
Hf (0.6144, 0.0000, 0.7506)
Hf (0.8856, 0.5000, 0.2494)
Hf (0.8885, 0.0000, 0.6553)
Ni (0.0000, 0.5000, 0.0000)
Ni (0.5000, 0.0000, 0.0000)
As (0.2217, 0.5000, 0.2088)
As (0.2783, 0.0000, 0.7912)
As (0.7217, 0.0000, 0.2088)
As (0.7783, 0.5000, 0.7912)

Top 10 peaks for 2θ = 15–90°, by angle:
hkl 0 0 2, 30.2°, I 35
hkl 1 1 1, 31.9°, I 73
hkl 3 1 -1, 32.6°, I 100
hkl 3 1 -2, 37.6°, I 29
hkl 2 0 -3, 40.5°, I 19
hkl 3 1 1, 42.4°, I 35
hkl 6 0 -2, 43.1°, I 35
hkl 3 1 -3, 47.6°, I 28
hkl 0 2 0, 50.3°, I 24
hkl 7 1 -1, 57.8°, I 15